Starting from a structure optimized by DFT (PBE), the XRD peak list of HfHg2Te was calculated for Cu Kα, 1.54184 Å.
Neutral-atom scattering factors, no anomalous dispersion.

Main lines, low angle first (2θ = 10–80°):
2θ/deg	I_rel
30.16	100
34.22	76
43.18	36
46.25	63
56.21	17
65.12	21
67.96	21
71.15	15

Cell and atoms:
Lattice parameters (Å, degrees): 8.381 8.381 5.843 90.00 90.00 90.00
Space group I-42d (No. 122)
Symmetry-distinct sites (fractional):
Hf 0.000 0.000 0.000 (multiplicity 4)
Hg 0.228 0.250 0.125 (multiplicity 8)
Te 0.000 0.000 0.500 (multiplicity 4)

---

Starting from a structure optimized by DFT (PBE), the XRD peak list of Pr2DySc6 was calculated for Cu Kα, 1.54184 Å.
Neutral-atom scattering factors, no anomalous dispersion.

Main lines, low angle first (2θ = 10–80°):
2θ/deg	I_rel
19.05	54
33.19	100
33.31	75
38.66	10
47.74	35
59.48	49
66.29	19
79.66	15

Cell and atoms:
Lattice parameters (Å, degrees): 9.3165 9.3165 3.3118 90.00 90.00 120.00
Space group P6/mmm (No. 191)
Symmetry-distinct sites (fractional):
Pr 0.3333 0.6667 0.0000 (multiplicity 2)
Dy 0.0000 0.0000 0.0000 (multiplicity 1)
Sc 0.0000 0.3306 0.5000 (multiplicity 6)

---

Starting from a structure optimized by DFT (PBE), the XRD peak list of Li2SiSb was calculated for Cu Kα, 1.54184 Å.
Neutral-atom scattering factors, no anomalous dispersion.

Main lines, low angle first (2θ = 10–80°):
2θ/deg	I_rel
15.54	83
21.41	100
26.56	51
29.31	45
36.58	65
38.31	57
43.47	39
48.95	42

Cell and atoms:
Lattice parameters (Å, degrees): 3.047 4.151 5.701 90.00 90.00 90.00
Space group Pmmm (No. 47)
Symmetry-distinct sites (fractional):
Li 0.000 0.000 0.229 (multiplicity 2)
Si 0.500 0.500 0.000 (multiplicity 1)
Sb 0.500 0.500 0.500 (multiplicity 1)

---

Starting from a structure optimized by DFT (PBE), the XRD peak list of CdMoOs was calculated for Cu Kα, 1.54184 Å.
Neutral-atom scattering factors, no anomalous dispersion.

Main lines, low angle first (2θ = 10–80°):
2θ/deg	I_rel
12.35	28
37.66	31
38.70	100
44.68	67
64.33	20
65.75	20
78.32	22
78.98	12

Cell and atoms:
Lattice parameters (Å, degrees): 2.8405 2.8405 7.1662 90.00 90.00 120.00
Space group P3m1 (No. 156)
Symmetry-distinct sites (fractional):
Cd 0.0000 0.0000 0.0000 (multiplicity 1)
Mo 0.6667 0.3333 0.3616 (multiplicity 1)
Os 0.3333 0.6667 0.6489 (multiplicity 1)